The following is a simulated powder X-ray diffraction pattern of Fe3O5F. It was derived from DFT lattice parameters and positions (PBE+U), using Cu Kα (λ = 1.5418 Å).

Cell and atoms:
```
data_Fe3O5F
_cell_length_a 9.0180
_cell_length_b 4.6493
_cell_length_c 4.6416
_cell_angle_alpha 90.00
_cell_angle_beta 90.00
_cell_angle_gamma 90.00
_space_group_name_H-M_alt 'P m n 21'
_space_group_IT_number 31
loop_
_space_group_symop_operation_xyz
'x,y,z'
'-x+1/2,-y,z+1/2'
'-x,y,z'
'x+1/2,-y,z+1/2'
loop_
_atom_site_label
_atom_site_type_symbol
_atom_site_fract_x
_atom_site_fract_y
_atom_site_fract_z
_atom_site_occupancy
Fe1 Fe 0.0000 0.2282 0.0000 1
Fe2 Fe 0.1727 0.7521 0.5282 1
O1 O 0.0000 0.9241 0.7041 1
O2 O 0.1605 0.0492 0.2115 1
O3 O 0.1627 0.4362 0.8261 1
F1 F 0.0000 0.5436 0.3193 1
```

Most intense lines, 2θ = 10–80°, sorted by position:
- 3.285 Å, rel. 100.0
- 2.524 Å, rel. 52.1
- 2.323 Å, rel. 10.3
- 2.218 Å, rel. 13.9
- 1.709 Å, rel. 58.4
- 1.642 Å, rel. 16.2
- 1.376 Å, rel. 10.1
- 1.367 Å, rel. 11.1